[1]
The following is a calculated XRD peak list of AcHgPdO4. It was derived from a structure optimized by DFT (PBE), using Cu Kα (weighted mean of Kα1 and Kα2).

Peak list (10 most intense, 10° ≤ 2θ ≤ 90°, in order of rising 2θ)
d (Å), intensity
4.506, 22
3.330, 16
3.312, 100
2.929, 11
2.830, 22
2.678, 33
2.296, 24
2.108, 13
1.919, 26
1.656, 20

Structure:
abc: 6.6595 8.4304 9.0119
angles: 90.00 90.00 90.00
Space group Imma (No. 74)
Unique sites:
Ac: 0.0000 0.0000 0.0000 (multiplicity 4)
Hg: 0.0000 0.2500 0.4438 (multiplicity 4)
Pd: 0.2500 0.2500 0.7500 (multiplicity 4)
O: 0.0000 0.0968 0.7360 (multiplicity 8)
O: 0.2015 0.2500 0.0324 (multiplicity 8)

=====

[2]
The following is a calculated XRD peak list of Ac2Hg2PtO2. It was derived from a structure optimized by DFT (PBE), using Cu Kα (weighted mean of Kα1 and Kα2).

Peak list (10 most intense, 10° ≤ 2θ ≤ 90°, in order of rising 2θ)
d (Å), intensity
4.671, 42
4.011, 58
3.000, 17
2.697, 100
2.609, 27
2.278, 19
1.875, 63
1.557, 19
1.337, 21
1.198, 15

Structure:
abc: 5.3937 5.3937 7.8261
angles: 90.00 90.00 120.00
Space group P-3m1 (No. 164)
Unique sites:
Ac: 0.3333 0.6667 0.1859 (multiplicity 2)
Hg: 0.0000 0.0000 0.1718 (multiplicity 2)
Pt: 0.0000 0.0000 0.5000 (multiplicity 1)
O: 0.3333 0.6667 0.9038 (multiplicity 2)

=====

[3]
The following is a calculated XRD peak list of AcHgPtO6. It was derived from a structure optimized by DFT (PBE), using Cu Kα (weighted mean of Kα1 and Kα2).

Peak list (10 most intense, 10° ≤ 2θ ≤ 90°, in order of rising 2θ)
d (Å), intensity
3.129, 100
3.017, 90
2.370, 16
2.172, 38
1.807, 28
1.784, 42
1.570, 34
1.565, 14
1.389, 18
1.281, 15

Structure:
abc: 6.2581 6.2581 7.2630
angles: 90.00 90.00 120.00
Space group P-31c (No. 163)
Unique sites:
Ac: 0.3333 0.6667 0.2500 (multiplicity 2)
Hg: 0.0000 0.0000 0.0000 (multiplicity 2)
Pt: 0.3333 0.6667 0.7500 (multiplicity 2)
O: 0.0738 0.4032 0.5982 (multiplicity 12)

=====

[4]
The following is a calculated XRD peak list of Ac2PuHgO6. It was derived from a structure optimized by DFT (PBE), using Cu Kα (weighted mean of Kα1 and Kα2).

Peak list (10 most intense, 10° ≤ 2θ ≤ 90°, in order of rising 2θ)
d (Å), intensity
3.320, 25
3.254, 100
3.021, 21
2.374, 9
2.234, 20
1.931, 11
1.904, 25
1.867, 9
1.786, 20
1.627, 12

Structure:
abc: 6.0412 6.6391 9.4978
angles: 90.00 90.00 90.00
Space group Pnnm (No. 58)
Unique sites:
Ac: 0.0000 0.0000 0.2243 (multiplicity 4)
Pu: 0.0000 0.5000 0.5000 (multiplicity 2)
Hg: 0.0000 0.5000 0.0000 (multiplicity 2)
O: 0.1375 0.3135 0.3395 (multiplicity 8)
O: 0.2024 0.1298 0.0000 (multiplicity 4)